This entry pairs a crystal structure of NdSmPd with its calculated XRD peak list. Radiation: Cu Ka. Structure: a GGA-PBE-relaxed structure.
Peak positions follow from Bragg's law for the DFT cell and can differ from measured ones.

Structural model:
Cell lengths 6.409, 9.366, 5.877 Å; angles 90.00, 105.57, 90.00 degrees
Space group P2_1/c (No. 14)
Unique sites:
Nd 0.239 0.095 0.427 x4
Sm 0.312 0.652 0.437 x4
Pd 0.065 0.118 0.860 x4

Peak list (12 most intense, 2θ from 10° to 80°, low angle first)
- (1 2 -1), 26.39 deg, I = 23
- (2 0 0), 28.92 deg, I = 19
- (2 1 0), 30.50 deg, I = 30
- (1 2 1), 30.76 deg, I = 100
- (1 0 -2), 31.02 deg, I = 49
- (0 0 2), 31.61 deg, I = 15
- (1 3 0), 32.13 deg, I = 18
- (0 3 1), 32.76 deg, I = 19
- (2 2 -1), 34.86 deg, I = 60
- (0 4 0), 38.43 deg, I = 44
- (3 2 -1), 46.93 deg, I = 17
- (1 4 -2), 50.19 deg, I = 17